Starting from a structure optimized by DFT (GGA-PBE), the X-ray powder pattern of C3Se5 was simulated for λ = 1.5418 Å (Cu Kα).

Principal peaks in the range 5° ≤ 2θ ≤ 70°, in order of rising 2θ:
hkl  2θ (°)  intensity
0 0 1  12.46  100.0
0 2 0  17.29  98.5
0 1 2  26.56  53.6
0 3 1  28.98  25.2
1 3 0  30.03  42.6
0 2 2  30.62  29.1
1 3 1  33.69  23.0
2 0 1  34.35  35.7
2 1 -2  36.47  31.0
0 1 3  39.05  23.0
2 3 0  39.85  19.5
0 4 2  43.53  21.6

Structure:
Cell: 6.135 10.258 7.223 Å, 90.00 100.47 90.00°
Space group P2_1/m (No. 11)
One atom of each set of equivalent atoms:
C (0.056, 0.250, 0.487) x2
C (0.383, 0.750, 0.521) x2
C (0.426, 0.250, 0.880) x2
Se (0.141, 0.250, 0.776) x2
Se (0.175, 0.608, 0.584) x4
Se (0.303, 0.250, 0.329) x2
Se (0.341, 0.750, 0.231) x2